(1)
The following is a theoretical X-ray powder pattern of TiS. It was derived from a cell relaxed with GGA-PBE, using Cu Kα (λ = 1.5418 Å).
Lines closer than 0.1° are merged.

Largest 10 diffraction maxima, in order of rising 2θ, 10° ≤ 2θ ≤ 90°:
2θ (°)	Rel. int.	index
27.7	2	0 0 1
31.6	44	1 0 0
42.5	100	1 0 1
56.2	27	1 1 0
57.2	8	0 0 2
63.8	1	1 1 1
65.9	4	2 0 0
66.8	8	1 0 2
72.9	18	2 0 1
84.4	16	1 1 2

Structural model:
a = 3.2739 Å, b = 3.2739 Å, c = 3.2191 Å
α = 90.00°, β = 90.00°, γ = 120.00°
Space group P-6m2 (No. 187)
Unique sites:
Ti: 0.0000 0.0000 0.0000 [1 per cell]
S: 0.3333 0.6667 0.5000 [1 per cell]

(2)
The following is a theoretical X-ray powder pattern of EuSi3Ni. It was derived from a cell relaxed with GGA-PBE, using Cu Kα (λ = 1.5418 Å).
Lines closer than 0.1° are merged.

Largest 10 diffraction maxima, in order of rising 2θ, 10° ≤ 2θ ≤ 90°:
2θ (°)	Rel. int.	index
23.4	64	1 0 1
30.6	17	1 1 0
35.0	67	1 0 3
35.8	100	1 1 2
43.9	42	2 0 0
50.3	17	2 1 1
51.5	22	1 0 5
57.3	32	2 1 3
69.9	18	2 1 5
75.4	22	3 1 2

Structural model:
a = 4.125 Å, b = 4.125 Å, c = 9.839 Å
α = 90.00°, β = 90.00°, γ = 90.00°
Space group I-4m2 (No. 119)
Unique sites:
Eu: 0.000 0.000 0.000 [2 per cell]
Si: 0.000 0.000 0.376 [4 per cell]
Si: 0.000 0.500 0.250 [2 per cell]
Ni: 0.000 0.500 0.750 [2 per cell]

(3)
The following is a theoretical X-ray powder pattern of CuIO4. It was derived from a cell relaxed with GGA-PBE, using Cu Kα (λ = 1.5418 Å).
Lines closer than 0.1° are merged.

Largest 10 diffraction maxima, in order of rising 2θ, 10° ≤ 2θ ≤ 90°:
2θ (°)	Rel. int.	index
18.3	39	1 0 1
22.9	100	1 1 1
32.6	30	2 2 0
32.8	15	0 0 2
33.4	38	3 1 1
34.1	14	4 0 0
46.2	17	1 3 1
46.9	32	2 2 2
48.0	15	4 0 2
48.5	11	5 1 1

Structural model:
a = 10.523 Å, b = 6.443 Å, c = 5.469 Å
α = 90.00°, β = 90.00°, γ = 90.00°
Space group Pnma (No. 62)
Unique sites:
Cu: 0.000 0.000 0.000 [4 per cell]
I: 0.245 0.250 0.015 [4 per cell]
O: 0.037 0.250 0.155 [4 per cell]
O: 0.121 0.750 0.307 [4 per cell]
O: 0.160 0.028 0.853 [8 per cell]

(4)
The following is a theoretical X-ray powder pattern of La2Sn3Pb3. It was derived from a cell relaxed with GGA-PBE, using Cu Kα (λ = 1.5418 Å).
Lines closer than 0.1° are merged.

Largest 10 diffraction maxima, in order of rising 2θ, 10° ≤ 2θ ≤ 90°:
2θ (°)	Rel. int.	index
31.6	100	1 1 2
36.2	18	0 2 0
36.6	17	2 0 0
37.1	16	0 0 4
52.4	12	2 2 0
52.8	12	0 2 4
62.3	15	1 3 2
62.8	14	3 1 2
63.5	14	1 1 6
66.0	13	2 2 4

Structural model:
a = 4.908 Å, b = 4.962 Å, c = 9.690 Å
α = 90.00°, β = 90.00°, γ = 90.00°
Space group Pmmm (No. 47)
Unique sites:
La: 0.000 0.000 0.245 [2 per cell]
Sn: 0.000 0.500 0.000 [1 per cell]
Sn: 0.500 0.000 0.000 [1 per cell]
Sn: 0.500 0.000 0.500 [1 per cell]
Pb: 0.000 0.500 0.500 [1 per cell]
Pb: 0.500 0.500 0.248 [2 per cell]

(5)
The following is a theoretical X-ray powder pattern of ThPb3. It was derived from a cell relaxed with GGA-PBE, using Cu Kα (λ = 1.5418 Å).
Lines closer than 0.1° are merged.

Largest 8 diffraction maxima, in order of rising 2θ, 10° ≤ 2θ ≤ 90°:
2θ (°)	Rel. int.	index
31.5	100	1 1 1
36.5	51	2 0 0
52.6	37	2 2 0
62.5	44	3 1 1
65.7	13	2 2 2
77.5	6	4 0 0
86.0	19	3 3 1
88.8	18	4 2 0

Structural model:
a = 4.926 Å, b = 4.926 Å, c = 4.926 Å
α = 90.00°, β = 90.00°, γ = 90.00°
Space group Pm-3m (No. 221)
Unique sites:
Th: 0.000 0.000 0.000 [1 per cell]
Pb: 0.000 0.500 0.500 [3 per cell]

(6)
The following is a theoretical X-ray powder pattern of Te4Mo3WSe4. It was derived from a cell relaxed with GGA-PBE, using Cu Kα (λ = 1.5418 Å).
Lines closer than 0.1° are merged.

Largest 10 diffraction maxima, in order of rising 2θ, 10° ≤ 2θ ≤ 90°:
2θ (°)	Rel. int.	index
11.3	98	0 0 5
30.0	56	1 0 0
35.3	100	1 0 8
36.6	17	1 0 9
42.7	65	0 1 13
44.5	19	1 0 14
53.3	42	1 1 0
65.6	16	0 2 8
75.2	19	1 1 21
89.4	15	2 1 8

Structural model:
a = 3.4364 Å, b = 3.4364 Å, c = 39.1184 Å
α = 90.00°, β = 90.00°, γ = 120.00°
Space group P3m1 (No. 156)
Unique sites:
Te: 0.0000 0.0000 0.0000 [1 per cell]
Te: 0.0000 0.0000 0.0949 [1 per cell]
Te: 0.3333 0.6667 0.1879 [1 per cell]
Te: 0.3333 0.6667 0.2828 [1 per cell]
Mo: 0.0000 0.0000 0.2354 [1 per cell]
Mo: 0.0000 0.0000 0.8596 [1 per cell]
Mo: 0.3333 0.6667 0.0474 [1 per cell]
W: 0.3333 0.6667 0.4232 [1 per cell]
Se: 0.0000 0.0000 0.3813 [1 per cell]
Se: 0.0000 0.0000 0.4652 [1 per cell]
Se: 0.3333 0.6667 0.8178 [1 per cell]
Se: 0.3333 0.6667 0.9014 [1 per cell]

(7)
The following is a theoretical X-ray powder pattern of NaNdB6O13. It was derived from a cell relaxed with GGA-PBE, using Cu Kα (λ = 1.5418 Å).
Lines closer than 0.1° are merged.

Largest 10 diffraction maxima, in order of rising 2θ, 10° ≤ 2θ ≤ 90°:
2θ (°)	Rel. int.	index
17.9	26	1 0 -2
18.2	100	1 1 -1
23.5	39	1 0 2
24.1	25	0 2 0
24.9	31	0 2 -1
26.2	23	0 1 -3
27.3	39	0 1 3
27.7	22	2 0 -2
33.1	23	2 1 1
41.4	24	-1 3 2

Structural model:
a = 6.782 Å, b = 7.411 Å, c = 11.629 Å
α = 92.84°, β = 105.23°, γ = 90.05°
Space group P-1 (No. 2)
Unique sites:
Na: 0.202 0.476 0.391 [2 per cell]
Nd: 0.199 0.764 0.926 [2 per cell]
B: 0.000 0.120 0.873 [2 per cell]
B: 0.150 0.029 0.337 [2 per cell]
B: 0.277 0.266 0.041 [2 per cell]
B: 0.294 0.536 0.655 [2 per cell]
B: 0.303 0.396 0.844 [2 per cell]
B: 0.498 0.276 0.718 [2 per cell]
O: 0.013 0.009 0.225 [2 per cell]
O: 0.142 0.765 0.113 [2 per cell]
O: 0.155 0.316 0.121 [2 per cell]
O: 0.178 0.174 0.410 [2 per cell]
O: 0.185 0.098 0.959 [2 per cell]
O: 0.201 0.631 0.567 [2 per cell]
O: 0.215 0.518 0.758 [2 per cell]
O: 0.266 0.422 0.953 [2 per cell]
O: 0.277 0.874 0.382 [2 per cell]
O: 0.415 0.886 0.308 [2 per cell]
O: 0.423 0.259 0.817 [2 per cell]
O: 0.470 0.426 0.653 [2 per cell]
O: 0.480 0.234 0.105 [2 per cell]